Entry 1:
Structure and calculated XRD peak list of NaLiAl4Si2O12 (a crystal structure in Alexandria, relaxed with GGA-PBE; λ = 1.5418 Å (Cu Kα)).
Kinematic intensities with the Lorentz-polarization factor, no thermal factor.

Top 10 peaks for 15 to 90 degrees two-theta, low angle first:
hkl 1 1 0, d 4.572, 19.4 deg, I = 37; hkl 1 1 -1, d 4.525, 19.6 deg, I = 65; hkl 1 1 -4, d 3.451, 25.8 deg, I = 34; hkl 0 2 4, d 3.309, 26.9 deg, I = 37; hkl 0 0 6, d 3.221, 27.7 deg, I = 100; hkl 1 1 4, d 3.204, 27.8 deg, I = 35; hkl 2 0 -2, d 2.610, 34.4 deg, I = 31; hkl 1 3 1, d 2.589, 34.6 deg, I = 70; hkl 1 3 9, d 1.629, 56.5 deg, I = 34; hkl 3 3 -1, d 1.528, 60.6 deg, I = 44

Crystal structure
a = 5.3114 Å, b = 9.0817 Å, c = 19.3990 Å
α = 90.00°, β = 94.93°, γ = 90.00°
Space group Cc (No. 9)
Unique sites:
Na 0.0000 0.0840 0.0000 x4
Li 0.2603 0.2451 0.2492 x4
Al 0.0480 0.2489 0.6057 x4
Al 0.2195 0.4094 0.7500 x4
Al 0.2809 0.0959 0.7497 x4
Al 0.4585 0.0756 0.3938 x4
Si 0.0383 0.4189 0.1052 x4
Si 0.4496 0.2550 0.8945 x4
O 0.0291 0.0397 0.2156 x4
O 0.0434 0.4310 0.1930 x4
O 0.1118 0.2524 0.6980 x4
O 0.1356 0.4240 0.5771 x4
O 0.2238 0.2845 0.0865 x4
O 0.2465 0.1130 0.5754 x4
O 0.2507 0.2171 0.4132 x4
O 0.2751 0.3853 0.9232 x4
O 0.3632 0.0961 0.9237 x4
O 0.3940 0.2508 0.8068 x4
O 0.4546 0.0594 0.3013 x4
O 0.4681 0.4560 0.2840 x4

=====

Entry 2:
Structure and calculated XRD peak list of MnFe14Ge (a crystal structure in Alexandria, relaxed with GGA-PBE; λ = 1.5418 Å (Cu Kα)).
Kinematic intensities with the Lorentz-polarization factor, no thermal factor.

Top 5 peaks for 15 to 90 degrees two-theta, low angle first:
hkl 2 2 2, d 2.014, 45.0 deg, I = 100; hkl 0 4 4, d 1.425, 65.5 deg, I = 10; hkl 4 0 0, d 1.422, 65.7 deg, I = 5; hkl 2 6 2, d 1.163, 83.0 deg, I = 19; hkl 4 4 0, d 1.162, 83.1 deg, I = 10

Crystal structure
a = 5.6877 Å, b = 8.0554 Å, c = 8.0671 Å
α = 90.00°, β = 90.00°, γ = 90.00°
Space group Cmmm (No. 65)
Unique sites:
Mn 0.0000 0.0000 0.0000 x2
Fe 0.0000 0.0000 0.5000 x2
Fe 0.0000 0.2510 0.2498 x8
Fe 0.0000 0.5000 0.5000 x2
Fe 0.2466 0.0000 0.2533 x8
Fe 0.2500 0.2500 0.0000 x4
Fe 0.2500 0.2500 0.5000 x4
Ge 0.0000 0.5000 0.0000 x2

=====

Entry 3:
Structure and calculated XRD peak list of BaMg2GaAu4 (a crystal structure in Alexandria, relaxed with GGA-PBE; λ = 1.5418 Å (Cu Kα)).
Kinematic intensities with the Lorentz-polarization factor, no thermal factor.

Top 10 peaks for 15 to 90 degrees two-theta, low angle first:
hkl 0 1 2, d 3.861, 23.0 deg, I = 25; hkl 1 0 4, d 3.516, 25.3 deg, I = 46; hkl 0 1 5, d 3.310, 26.9 deg, I = 18; hkl 1 0 7, d 2.900, 30.8 deg, I = 63; hkl 0 1 8, d 2.710, 33.1 deg, I = 49; hkl 1 1 0, d 2.310, 39.0 deg, I = 100; hkl 0 1 11, d 2.226, 40.5 deg, I = 49; hkl 1 1 15, d 1.497, 62.0 deg, I = 25; hkl 3 0 0, d 1.334, 70.6 deg, I = 18; hkl 1 2 11, d 1.317, 71.7 deg, I = 18

Crystal structure
a = 4.6199 Å, b = 4.6199 Å, c = 29.4678 Å
α = 90.00°, β = 90.00°, γ = 120.00°
Space group R-3m (No. 166, hexagonal axes)
Unique sites:
Ba 0.0000 0.0000 0.0000 x3
Mg 0.0000 0.0000 0.2315 x6
Ga 0.0000 0.0000 0.5000 x3
Au 0.0000 0.0000 0.1332 x6
Au 0.0000 0.0000 0.4068 x6

=====

Entry 4:
Structure and calculated XRD peak list of Cd4InHg9 (a crystal structure in Alexandria, relaxed with GGA-PBE; λ = 1.5418 Å (Cu Kα)).
Kinematic intensities with the Lorentz-polarization factor, no thermal factor.

Top 10 peaks for 15 to 90 degrees two-theta, low angle first:
hkl 1 1 2, d 3.141, 28.4 deg, I = 50; hkl 1 -3 1, d 3.002, 29.8 deg, I = 81; hkl -3 1 1, d 2.939, 30.4 deg, I = 78; hkl 3 -3 0, d 2.676, 33.5 deg, I = 85; hkl 0 3 -1, d 2.671, 33.5 deg, I = 77; hkl 3 0 -1, d 2.642, 33.9 deg, I = 100; hkl 2 -2 3, d 2.592, 34.6 deg, I = 96; hkl -2 2 3, d 2.447, 36.7 deg, I = 54; hkl 1 2 2, d 2.416, 37.2 deg, I = 53; hkl 1 1 -4, d 2.275, 39.6 deg, I = 38

Crystal structure
a = 9.2962 Å, b = 9.3119 Å, c = 9.7939 Å
α = 96.78°, β = 90.95°, γ = 119.77°
Space group P-1 (No. 2)
Unique sites:
Cd 0.0000 0.0000 0.0000 x1
Cd 0.0000 0.0000 0.5000 x1
Cd 0.1001 0.8607 0.2431 x2
Cd 0.1060 0.2286 0.2794 x2
Cd 0.2466 0.1025 0.7704 x2
In 0.2990 0.7438 0.7551 x2
Hg 0.0392 0.6671 0.9568 x2
Hg 0.1029 0.5572 0.3609 x2
Hg 0.2049 0.3862 0.5968 x2
Hg 0.3012 0.4574 0.9286 x2
Hg 0.3122 0.9276 0.5129 x2
Hg 0.3695 0.1795 0.0861 x2
Hg 0.4100 0.8646 0.1444 x2
Hg 0.4231 0.5635 0.2512 x2
Hg 0.4434 0.2834 0.4343 x2